Starting from the GGA-PBE geometry in Alexandria, the X-ray powder pattern of Sm2Ga5Co2Cu was calculated for copper Kα.

Largest 12 diffraction maxima, low angle first, 2θ = 10–90°:
| two_theta | I_rel | hkl |
| --- | --- | --- |
| 29.8 | 20 | 2 0 1 |
| 31.3 | 38 | 2 1 1 |
| 35.4 | 45 | 2 2 1 |
| 38.0 | 100 | 3 1 1 |
| 39.3 | 72 | 4 1 0 |
| 40.5 | 23 | 3 3 0 |
| 41.6 | 50 | 3 2 1 |
| 46.8 | 34 | 0 0 2 |
| 62.7 | 36 | 4 1 2 |
| 63.6 | 12 | 3 3 2 |
| 64.6 | 14 | 6 1 1 |
| 67.9 | 10 | 5 4 1 |

Cell and atoms:
```
data_Sm2Ga5Co2Cu
_chemical_formula_sum 'Sm4 Ga10 Co4 Cu2'
_cell_length_a 9.4530
_cell_length_b 9.4530
_cell_length_c 3.8805
_cell_angle_alpha 90.00
_cell_angle_beta 90.00
_cell_angle_gamma 90.00
_symmetry_space_group_name_H-M 'P 4/m b m'
_symmetry_Int_Tables_number 127
_symmetry_space_group_name_Hall '-P 4 2ab'
loop_
_atom_site_label
_atom_site_type_symbol
_atom_site_fract_x
_atom_site_fract_y
_atom_site_fract_z
Sm1 Sm 0.1858 0.3142 0.0000
Ga1 Ga 0.0000 0.5000 0.5000
Ga2 Ga 0.0551 0.7959 0.5000
Co1 Co 0.1105 0.6105 0.0000
Cu1 Cu 0.0000 0.0000 0.0000
```


Starting from the GGA-PBE geometry in Alexandria, the X-ray powder pattern of ThGa2Co2Cu was calculated for copper Kα.

Largest 12 diffraction maxima, low angle first, 2θ = 10–90°:
| two_theta | I_rel | hkl |
| --- | --- | --- |
| 20.1 | 33 | 1 0 0 |
| 26.0 | 20 | 1 0 1 |
| 28.6 | 39 | 1 1 0 |
| 33.0 | 100 | 1 1 1 |
| 38.9 | 76 | 1 0 2 |
| 40.8 | 65 | 2 0 0 |
| 53.4 | 21 | 2 0 2 |
| 57.7 | 47 | 2 1 2 |
| 59.1 | 21 | 2 2 0 |
| 69.4 | 29 | 3 1 1 |
| 83.5 | 13 | 2 0 4 |
| 87.2 | 15 | 3 2 2 |

Cell and atoms:
```
data_ThGa2Co2Cu
_chemical_formula_sum 'Th1 Ga2 Co2 Cu1'
_cell_length_a 4.4205
_cell_length_b 4.4205
_cell_length_c 5.4344
_cell_angle_alpha 90.00
_cell_angle_beta 90.00
_cell_angle_gamma 90.00
_symmetry_space_group_name_H-M 'P 4/m m m'
_symmetry_Int_Tables_number 123
_symmetry_space_group_name_Hall '-P 4 2'
loop_
_atom_site_label
_atom_site_type_symbol
_atom_site_fract_x
_atom_site_fract_y
_atom_site_fract_z
Th1 Th 0.0000 0.0000 0.0000
Ga1 Ga 0.0000 0.5000 0.5000
Co1 Co 0.5000 0.5000 0.2104
Cu1 Cu 0.0000 0.0000 0.5000
```


Starting from the GGA-PBE geometry in Alexandria, the X-ray powder pattern of ZrGaCoCu was calculated for copper Kα.

Largest 8 diffraction maxima, low angle first, 2θ = 10–90°:
| two_theta | I_rel | hkl |
| --- | --- | --- |
| 25.0 | 1 | 1 1 1 |
| 29.0 | 2 | 2 0 0 |
| 41.4 | 100 | 2 2 0 |
| 49.0 | 1 | 3 1 1 |
| 51.3 | 1 | 2 2 2 |
| 60.0 | 16 | 4 0 0 |
| 68.0 | 1 | 4 2 0 |
| 75.6 | 31 | 4 2 2 |

Cell and atoms:
```
data_ZrGaCoCu
_chemical_formula_sum 'Zr4 Ga4 Co4 Cu4'
_cell_length_a 6.1652
_cell_length_b 6.1652
_cell_length_c 6.1652
_cell_angle_alpha 90.00
_cell_angle_beta 90.00
_cell_angle_gamma 90.00
_symmetry_space_group_name_H-M 'F -4 3 m'
_symmetry_Int_Tables_number 216
_symmetry_space_group_name_Hall 'F -4 2 3'
loop_
_atom_site_label
_atom_site_type_symbol
_atom_site_fract_x
_atom_site_fract_y
_atom_site_fract_z
Zr1 Zr 0.0000 0.0000 0.0000
Ga1 Ga 0.0000 0.0000 0.5000
Co1 Co 0.2500 0.2500 0.2500
Cu1 Cu 0.2500 0.2500 0.7500
```